Diffraction record for Nd3Sm8Pu. The X-ray powder pattern is simulated, not measured: it uses a structure optimized by DFT (GGA-PBE) and copper Kα.
Intensities are scaled so that the largest is 100.

Atomic structure:
Unit cell a=8.4670 b=8.4670 c=8.4670 alpha=117.48 beta=117.48 gamma=94.42
Sites, in units of the cell vectors:
Nd1 0.0000 0.0000 0.0000
Nd2 0.2500 0.7500 0.5000
Nd3 0.7500 0.2500 0.5000
Sm1 0.1404 0.3893 0.0000
Sm2 0.2407 0.2407 0.5341
Sm3 0.2934 0.7593 0.0000
Sm4 0.3893 0.1404 0.0000
Sm5 0.6107 0.6107 0.7511
Sm6 0.7066 0.7066 0.4659
Sm7 0.7593 0.2934 0.0000
Sm8 0.8596 0.8596 0.2489
Pu1 0.5000 0.5000 0.0000

Main lines, by angle (15 to 90 degrees two-theta):
Position (°2θ), intensity
21.05, 32.8
23.93, 48.4
25.51, 28.6
28.74, 73.2
31.10, 56.0
32.63, 29.9
32.76, 27.6
35.89, 100.0
42.85, 42.4
44.13, 42.6
55.68, 31.7
58.49, 32.0